Entry 1:
LaSmAl2Zn2: theoretical PXRD pattern (Cu Kα, 1.54184 Å), based on a GGA-PBE-relaxed structure.
No peak broadening, texture or thermal motion is included.

Crystal structure
```
data_LaSmAl2Zn2
_cell_length_a 4.566
_cell_length_b 4.566
_cell_length_c 7.654
_cell_angle_alpha 90.00
_cell_angle_beta 90.00
_cell_angle_gamma 120.00
_symmetry_space_group_name_H-M 'P 1'
_symmetry_Int_Tables_number 1
loop_
_symmetry_equiv_pos_as_xyz
'x,y,z'
loop_
_atom_site_label
_atom_site_type_symbol
_atom_site_fract_x
_atom_site_fract_y
_atom_site_fract_z
La1 La 0.000 0.000 0.000
Sm1 Sm 0.000 0.000 0.500
Al1 Al 0.333 0.667 0.728
Al2 Al 0.667 0.333 0.272
Zn1 Zn 0.333 0.667 0.280
Zn2 Zn 0.667 0.333 0.720
```

Principal peaks in the range 2θ = 10–80°, by intensity:
2θ 32.56, I 100
2θ 39.47, I 48
2θ 22.48, I 31
2θ 52.06, I 26
2θ 67.25, I 24
2θ 63.42, I 20
2θ 47.51, I 9
2θ 53.17, I 8
2θ 71.59, I 8
2θ 25.35, I 7


Entry 2:
Mg2Cu2Au5: theoretical PXRD pattern (Cu Kα, 1.54184 Å), based on a GGA-PBE-relaxed structure.
No peak broadening, texture or thermal motion is included.

Crystal structure
```
data_Mg2Cu2Au5
_cell_length_a 8.849
_cell_length_b 8.849
_cell_length_c 8.849
_cell_angle_alpha 64.15
_cell_angle_beta 131.50
_cell_angle_gamma 140.67
_symmetry_space_group_name_H-M 'P 1'
_symmetry_Int_Tables_number 1
loop_
_symmetry_equiv_pos_as_xyz
'x,y,z'
loop_
_atom_site_label
_atom_site_type_symbol
_atom_site_fract_x
_atom_site_fract_y
_atom_site_fract_z
Mg1 Mg 0.000 0.000 0.000
Mg2 Mg 0.000 0.500 0.500
Mg3 Mg 0.071 0.258 0.313
Mg4 Mg 0.944 0.758 0.687
Cu1 Cu 0.410 0.518 0.042
Cu2 Cu 0.410 0.868 0.391
Cu3 Cu 0.476 0.018 0.609
Cu4 Cu 0.476 0.368 0.958
Au1 Au 0.421 0.214 0.707
Au2 Au 0.505 0.340 0.378
Au3 Au 0.505 0.627 0.665
Au4 Au 0.508 0.714 0.293
Au5 Au 0.576 0.119 0.153
Au6 Au 0.576 0.924 0.957
Au7 Au 0.963 0.127 0.622
Au8 Au 0.963 0.840 0.335
Au9 Au 0.966 0.424 0.847
Au10 Au 0.966 0.619 0.043
```

Principal peaks in the range 2θ = 10–80°, by intensity:
2θ 39.11, I 100
2θ 34.36, I 84
2θ 38.61, I 77
2θ 19.27, I 44
2θ 23.73, I 39
2θ 40.18, I 36
2θ 37.26, I 31
2θ 54.20, I 29
2θ 44.07, I 28
2θ 41.08, I 27


Entry 3:
Pm6TmIn2: theoretical PXRD pattern (Cu Kα, 1.54184 Å), based on a GGA-PBE-relaxed structure.
No peak broadening, texture or thermal motion is included.

Crystal structure
```
data_Pm6TmIn2
_cell_length_a 6.095
_cell_length_b 6.095
_cell_length_c 10.615
_cell_angle_alpha 107.14
_cell_angle_beta 107.14
_cell_angle_gamma 46.86
_symmetry_space_group_name_H-M 'P 1'
_symmetry_Int_Tables_number 1
loop_
_symmetry_equiv_pos_as_xyz
'x,y,z'
loop_
_atom_site_label
_atom_site_type_symbol
_atom_site_fract_x
_atom_site_fract_y
_atom_site_fract_z
Pm1 Pm 0.007 0.007 0.177
Pm2 Pm 0.328 0.328 0.946
Pm3 Pm 0.331 0.331 0.608
Pm4 Pm 0.669 0.669 0.392
Pm5 Pm 0.672 0.672 0.054
Pm6 Pm 0.993 0.993 0.823
Tm1 Tm 0.000 0.000 0.500
In1 In 0.341 0.341 0.286
In2 In 0.659 0.659 0.714
```

Principal peaks in the range 2θ = 10–80°, by intensity:
2θ 31.32, I 100
2θ 35.84, I 18
2θ 36.03, I 17
2θ 37.10, I 16
2θ 61.85, I 13
2θ 63.29, I 13
2θ 52.53, I 12
2θ 52.67, I 11
2θ 61.56, I 7
2θ 61.64, I 7


Entry 4:
Cu2SbCl: theoretical PXRD pattern (Cu Kα, 1.54184 Å), based on a GGA-PBE-relaxed structure.
No peak broadening, texture or thermal motion is included.

Crystal structure
```
data_Cu2SbCl
_cell_length_a 8.048
_cell_length_b 3.559
_cell_length_c 6.419
_cell_angle_alpha 90.00
_cell_angle_beta 100.80
_cell_angle_gamma 90.00
_symmetry_space_group_name_H-M 'P 1'
_symmetry_Int_Tables_number 1
loop_
_symmetry_equiv_pos_as_xyz
'x,y,z'
loop_
_atom_site_label
_atom_site_type_symbol
_atom_site_fract_x
_atom_site_fract_y
_atom_site_fract_z
Cu1 Cu 0.000 0.000 0.000
Cu2 Cu 0.219 0.500 0.101
Cu3 Cu 0.500 0.500 0.000
Cu4 Cu 0.719 0.000 0.101
Sb1 Sb 0.269 0.000 0.809
Sb2 Sb 0.769 0.500 0.809
Cl1 Cl 0.061 0.500 0.348
Cl2 Cl 0.561 0.000 0.348
```

Principal peaks in the range 2θ = 10–80°, by intensity:
2θ 14.05, I 100
2θ 31.97, I 68
2θ 42.96, I 36
2θ 41.44, I 32
2θ 48.01, I 20
2θ 44.89, I 18
2θ 28.82, I 15
2θ 38.24, I 14
2θ 42.69, I 14
2θ 51.34, I 13


Entry 5:
Nb2FeNi7Sn2: theoretical PXRD pattern (Cu Kα, 1.54184 Å), based on a GGA-PBE-relaxed structure.
No peak broadening, texture or thermal motion is included.

Crystal structure
```
data_Nb2FeNi7Sn2
_cell_length_a 15.371
_cell_length_b 15.371
_cell_length_c 15.371
_cell_angle_alpha 167.40
_cell_angle_beta 167.40
_cell_angle_gamma 17.86
_symmetry_space_group_name_H-M 'P 1'
_symmetry_Int_Tables_number 1
loop_
_symmetry_equiv_pos_as_xyz
'x,y,z'
loop_
_atom_site_label
_atom_site_type_symbol
_atom_site_fract_x
_atom_site_fract_y
_atom_site_fract_z
Nb1 Nb 0.125 0.125 0.000
Nb2 Nb 0.875 0.875 0.000
Fe1 Fe 0.500 0.500 0.000
Ni1 Ni 0.000 0.000 0.000
Ni2 Ni 0.062 0.562 0.500
Ni3 Ni 0.226 0.226 0.000
Ni4 Ni 0.438 0.938 0.500
Ni5 Ni 0.562 0.062 0.500
Ni6 Ni 0.774 0.774 0.000
Ni7 Ni 0.938 0.438 0.500
Sn1 Sn 0.312 0.312 0.000
Sn2 Sn 0.688 0.688 0.000
```

Principal peaks in the range 2θ = 10–80°, by intensity:
2θ 37.70, I 100
2θ 42.29, I 78
2θ 54.37, I 71
2θ 38.18, I 57
2θ 30.30, I 57
2θ 41.85, I 53
2θ 48.52, I 49
2θ 44.86, I 39
2θ 71.20, I 33
2θ 75.37, I 30


Entry 6:
BaLaSi2O6: theoretical PXRD pattern (Cu Kα, 1.54184 Å), based on a GGA-PBE-relaxed structure.
No peak broadening, texture or thermal motion is included.

Crystal structure
```
data_BaLaSi2O6
_cell_length_a 7.068
_cell_length_b 7.068
_cell_length_c 8.249
_cell_angle_alpha 102.52
_cell_angle_beta 102.52
_cell_angle_gamma 113.84
_symmetry_space_group_name_H-M 'P 1'
_symmetry_Int_Tables_number 1
loop_
_symmetry_equiv_pos_as_xyz
'x,y,z'
loop_
_atom_site_label
_atom_site_type_symbol
_atom_site_fract_x
_atom_site_fract_y
_atom_site_fract_z
Ba1 Ba 0.214 0.786 0.750
Ba2 Ba 0.786 0.214 0.250
La1 La 0.350 0.650 0.250
La2 La 0.650 0.350 0.750
Si1 Si 0.098 0.267 0.761
Si2 Si 0.267 0.098 0.261
Si3 Si 0.733 0.902 0.739
Si4 Si 0.902 0.733 0.239
O1 O 0.057 0.682 0.384
O2 O 0.177 0.265 0.220
O3 O 0.211 0.478 0.940
O4 O 0.265 0.177 0.720
O5 O 0.318 0.943 0.116
O6 O 0.478 0.211 0.440
O7 O 0.522 0.789 0.560
O8 O 0.682 0.057 0.884
O9 O 0.735 0.823 0.280
O10 O 0.789 0.522 0.060
O11 O 0.823 0.735 0.780
O12 O 0.943 0.318 0.616
```

Principal peaks in the range 2θ = 10–80°, by intensity:
2θ 23.50, I 100
2θ 27.65, I 79
2θ 26.24, I 48
2θ 19.03, I 44
2θ 29.39, I 44
2θ 14.96, I 43
2θ 30.82, I 30
2θ 47.30, I 30
2θ 32.47, I 25
2θ 25.15, I 25


Entry 7:
ErInAg2I6: theoretical PXRD pattern (Cu Kα, 1.54184 Å), based on a GGA-PBE-relaxed structure.
No peak broadening, texture or thermal motion is included.

Crystal structure
```
data_ErInAg2I6
_cell_length_a 9.057
_cell_length_b 9.057
_cell_length_c 9.057
_cell_angle_alpha 52.33
_cell_angle_beta 52.33
_cell_angle_gamma 52.33
_symmetry_space_group_name_H-M 'P 1'
_symmetry_Int_Tables_number 1
loop_
_symmetry_equiv_pos_as_xyz
'x,y,z'
loop_
_atom_site_label
_atom_site_type_symbol
_atom_site_fract_x
_atom_site_fract_y
_atom_site_fract_z
Er1 Er 0.000 0.000 0.000
In1 In 0.500 0.500 0.500
Ag1 Ag 0.268 0.268 0.268
Ag2 Ag 0.732 0.732 0.732
I1 I 0.076 0.383 0.770
I2 I 0.230 0.924 0.617
I3 I 0.383 0.770 0.076
I4 I 0.617 0.230 0.924
I5 I 0.770 0.076 0.383
I6 I 0.924 0.617 0.230
```

Principal peaks in the range 2θ = 10–80°, by intensity:
2θ 25.05, I 100
2θ 39.07, I 55
2θ 19.88, I 46
2θ 32.09, I 31
2θ 37.69, I 24
2θ 41.46, I 22
2θ 30.02, I 22
2θ 22.82, I 20
2θ 46.61, I 18
2θ 62.39, I 16


Entry 8:
Ba8Si2Ge: theoretical PXRD pattern (Cu Kα, 1.54184 Å), based on a GGA-PBE-relaxed structure.
No peak broadening, texture or thermal motion is included.

Crystal structure
```
data_Ba8Si2Ge
_cell_length_a 9.878
_cell_length_b 9.878
_cell_length_c 9.878
_cell_angle_alpha 147.45
_cell_angle_beta 121.29
_cell_angle_gamma 68.76
_symmetry_space_group_name_H-M 'P 1'
_symmetry_Int_Tables_number 1
loop_
_symmetry_equiv_pos_as_xyz
'x,y,z'
loop_
_atom_site_label
_atom_site_type_symbol
_atom_site_fract_x
_atom_site_fract_y
_atom_site_fract_z
Ba1 Ba 0.119 0.343 0.776
Ba2 Ba 0.136 0.136 0.000
Ba3 Ba 0.332 0.000 0.332
Ba4 Ba 0.433 0.657 0.776
Ba5 Ba 0.567 0.343 0.224
Ba6 Ba 0.668 0.000 0.668
Ba7 Ba 0.864 0.864 0.000
Ba8 Ba 0.881 0.657 0.224
Si1 Si 0.307 0.807 0.500
Si2 Si 0.693 0.193 0.500
Ge1 Ge 0.000 0.500 0.500
```

Principal peaks in the range 2θ = 10–80°, by intensity:
2θ 29.51, I 100
2θ 28.71, I 32
2θ 32.34, I 30
2θ 28.18, I 24
2θ 43.43, I 21
2θ 55.92, I 20
2θ 22.93, I 19
2θ 32.96, I 19
2θ 46.85, I 14
2θ 21.46, I 12


Entry 9:
TaMo14W: theoretical PXRD pattern (Cu Kα, 1.54184 Å), based on a GGA-PBE-relaxed structure.
No peak broadening, texture or thermal motion is included.

Crystal structure
```
data_TaMo14W
_cell_length_a 6.352
_cell_length_b 6.352
_cell_length_c 6.352
_cell_angle_alpha 90.00
_cell_angle_beta 90.00
_cell_angle_gamma 90.00
_symmetry_space_group_name_H-M 'P 1'
_symmetry_Int_Tables_number 1
loop_
_symmetry_equiv_pos_as_xyz
'x,y,z'
loop_
_atom_site_label
_atom_site_type_symbol
_atom_site_fract_x
_atom_site_fract_y
_atom_site_fract_z
Ta1 Ta 0.000 0.000 0.000
Mo1 Mo 0.000 0.000 0.500
Mo2 Mo 0.000 0.500 0.000
Mo3 Mo 0.000 0.500 0.500
Mo4 Mo 0.251 0.251 0.252
Mo5 Mo 0.251 0.251 0.748
Mo6 Mo 0.251 0.749 0.252
Mo7 Mo 0.251 0.749 0.748
Mo8 Mo 0.500 0.000 0.000
Mo9 Mo 0.500 0.000 0.500
Mo10 Mo 0.500 0.500 0.500
Mo11 Mo 0.749 0.251 0.252
Mo12 Mo 0.749 0.251 0.748
Mo13 Mo 0.749 0.749 0.252
Mo14 Mo 0.749 0.749 0.748
W1 W 0.500 0.500 0.000
```

Principal peaks in the range 2θ = 10–80°, by intensity:
2θ 40.15, I 100
2θ 72.97, I 33
2θ 58.09, I 16
2θ 24.27, I 2
2θ 19.77, I 2
2θ 13.94, I 2
2θ 31.49, I 1
2θ 47.47, I 1
2θ 28.10, I 1
2θ 34.59, I 1


Entry 10:
NdB11: theoretical PXRD pattern (Cu Kα, 1.54184 Å), based on a GGA-PBE-relaxed structure.
No peak broadening, texture or thermal motion is included.

Crystal structure
```
data_NdB11
_cell_length_a 6.658
_cell_length_b 6.658
_cell_length_c 6.658
_cell_angle_alpha 115.91
_cell_angle_beta 115.91
_cell_angle_gamma 97.24
_symmetry_space_group_name_H-M 'P 1'
_symmetry_Int_Tables_number 1
loop_
_symmetry_equiv_pos_as_xyz
'x,y,z'
loop_
_atom_site_label
_atom_site_type_symbol
_atom_site_fract_x
_atom_site_fract_y
_atom_site_fract_z
Nd1 Nd 0.375 0.625 0.750
Nd2 Nd 0.625 0.375 0.250
B1 B 0.000 0.000 0.000
B2 B 0.000 0.000 0.500
B3 B 0.000 0.500 0.000
B4 B 0.119 0.533 0.296
B5 B 0.119 0.823 0.585
B6 B 0.125 0.875 0.250
B7 B 0.177 0.263 0.296
B8 B 0.177 0.881 0.915
B9 B 0.263 0.177 0.796
B10 B 0.263 0.467 0.085
B11 B 0.467 0.263 0.585
B12 B 0.467 0.881 0.204
B13 B 0.500 0.000 0.500
B14 B 0.533 0.119 0.796
B15 B 0.533 0.737 0.415
B16 B 0.737 0.533 0.915
B17 B 0.737 0.823 0.204
B18 B 0.823 0.119 0.085
B19 B 0.823 0.737 0.704
B20 B 0.875 0.125 0.750
B21 B 0.881 0.177 0.415
B22 B 0.881 0.467 0.704
```

Principal peaks in the range 2θ = 10–80°, by intensity:
2θ 16.09, I 100
2θ 27.00, I 87
2θ 30.05, I 68
2θ 45.53, I 63
2θ 33.06, I 42
2θ 25.21, I 36
2θ 35.95, I 23
2θ 47.54, I 21
2θ 48.75, I 18
2θ 39.62, I 16


Entry 11:
Y2ErTmBi5: theoretical PXRD pattern (Cu Kα, 1.54184 Å), based on a GGA-PBE-relaxed structure.
No peak broadening, texture or thermal motion is included.

Crystal structure
```
data_Y2ErTmBi5
_cell_length_a 5.371
_cell_length_b 5.371
_cell_length_c 11.814
_cell_angle_alpha 90.00
_cell_angle_beta 90.00
_cell_angle_gamma 90.00
_symmetry_space_group_name_H-M 'P 1'
_symmetry_Int_Tables_number 1
loop_
_symmetry_equiv_pos_as_xyz
'x,y,z'
loop_
_atom_site_label
_atom_site_type_symbol
_atom_site_fract_x
_atom_site_fract_y
_atom_site_fract_z
Y1 Y 0.000 0.000 0.231
Y2 Y 0.000 0.000 0.769
Er1 Er 0.500 0.500 0.500
Tm1 Tm 0.500 0.500 0.000
Bi1 Bi 0.000 0.000 0.500
Bi2 Bi 0.000 0.500 0.000
Bi3 Bi 0.500 0.000 0.000
Bi4 Bi 0.500 0.500 0.254
Bi5 Bi 0.500 0.500 0.746
```

Principal peaks in the range 2θ = 10–80°, by intensity:
2θ 33.36, I 100
2θ 45.66, I 82
2θ 24.62, I 65
2θ 30.26, I 63
2θ 23.42, I 53
2θ 57.71, I 41
2θ 32.76, I 37
2θ 47.90, I 37
2θ 16.50, I 28
2θ 27.93, I 28


Entry 12:
Li3LaTe3: theoretical PXRD pattern (Cu Kα, 1.54184 Å), based on a GGA-PBE-relaxed structure.
No peak broadening, texture or thermal motion is included.

Crystal structure
```
data_Li3LaTe3
_cell_length_a 8.799
_cell_length_b 8.799
_cell_length_c 8.799
_cell_angle_alpha 54.48
_cell_angle_beta 54.48
_cell_angle_gamma 54.48
_symmetry_space_group_name_H-M 'P 1'
_symmetry_Int_Tables_number 1
loop_
_symmetry_equiv_pos_as_xyz
'x,y,z'
loop_
_atom_site_label
_atom_site_type_symbol
_atom_site_fract_x
_atom_site_fract_y
_atom_site_fract_z
Li1 Li 0.128 0.436 0.804
Li2 Li 0.196 0.872 0.564
Li3 Li 0.436 0.804 0.128
Li4 Li 0.564 0.196 0.872
Li5 Li 0.804 0.128 0.436
Li6 Li 0.872 0.564 0.196
La1 La 0.334 0.334 0.334
La2 La 0.666 0.666 0.666
Te1 Te 0.081 0.735 0.436
Te2 Te 0.265 0.564 0.919
Te3 Te 0.436 0.081 0.735
Te4 Te 0.564 0.919 0.265
Te5 Te 0.735 0.436 0.081
Te6 Te 0.919 0.265 0.564
```

Principal peaks in the range 2θ = 10–80°, by intensity:
2θ 25.12, I 100
2θ 32.70, I 45
2θ 38.72, I 36
2θ 42.69, I 25
2θ 46.72, I 17
2θ 63.94, I 14
2θ 13.29, I 14
2θ 62.24, I 14
2θ 51.56, I 12
2θ 11.85, I 11